This entry pairs a crystal structure of PuMgTl2Pb with its calculated powder XRD pattern. Radiation: CuKα. Structure: a cell relaxed with GGA-PBE.
No peak broadening, texture or thermal motion is included.

Structure:
Unit cell a=8.937 b=8.937 c=5.982 alpha=90.00 beta=90.00 gamma=141.03
Sites, in units of the cell vectors:
Pu1 0.160 0.840 0.750
Pu2 0.840 0.160 0.250
Mg1 0.353 0.647 0.750
Mg2 0.647 0.353 0.250
Tl1 0.252 0.252 0.000
Tl2 0.252 0.252 0.500
Tl3 0.748 0.748 0.000
Tl4 0.748 0.748 0.500
Pb1 0.245 0.755 0.250
Pb2 0.755 0.245 0.750

Peak list (10 most intense, 10 to 90 degrees two-theta, by angle)
two_theta, I_rel
21.1, 42
21.7, 23
26.4, 31
31.7, 84
31.8, 100
34.0, 61
36.9, 30
42.8, 56
62.3, 25
63.4, 31